# 1
Diffraction record for Pa4GaSe3. The X-ray diffraction stick pattern is calculated, not measured: it uses a PBE-relaxed structure and Cu Kα (λ = 1.5418 Å).
Intensities are scaled so that the largest is 100.

Lattice parameters (Å, degrees): 5.794 5.794 5.794 90.00 90.00 90.00
Sites, in units of the cell vectors:
Pa 0.000 0.000 0.000
Pa 0.000 0.500 0.500
Pa 0.500 0.000 0.500
Pa 0.500 0.500 0.000
Ga 0.500 0.500 0.500
Se 0.000 0.000 0.500
Se 0.000 0.500 0.000
Se 0.500 0.000 0.000

Main lines, in order of rising 2θ (10 to 90 degrees two-theta):
2θ = 26.65°, I 44
2θ = 30.87°, I 100
2θ = 44.22°, I 76
2θ = 52.37°, I 23
2θ = 54.89°, I 27
2θ = 64.31°, I 13
2θ = 70.90°, I 10
2θ = 73.03°, I 35
2θ = 81.36°, I 26
2θ = 87.48°, I 8

# 2
Diffraction record for Pa2GaSi. The X-ray diffraction stick pattern is calculated, not measured: it uses a PBE-relaxed structure and Cu Kα (λ = 1.5418 Å).
Intensities are scaled so that the largest is 100.

Lattice parameters (Å, degrees): 6.095 6.095 6.095 117.65 94.85 116.82
Sites, in units of the cell vectors:
Pa 0.278 0.000 0.778
Pa 0.278 0.500 0.278
Pa 0.722 0.000 0.222
Pa 0.722 0.500 0.722
Ga 0.203 0.453 0.750
Ga 0.797 0.547 0.250
Si 0.209 0.959 0.250
Si 0.791 0.041 0.750

Main lines, in order of rising 2θ (10 to 90 degrees two-theta):
2θ = 21.55°, I 54
2θ = 27.95°, I 38
2θ = 28.29°, I 33
2θ = 35.56°, I 100
2θ = 35.84°, I 84
2θ = 40.18°, I 64
2θ = 46.05°, I 47
2θ = 61.03°, I 25
2θ = 65.52°, I 24
2θ = 70.38°, I 28

# 3
Diffraction record for SmPaGa6. The X-ray diffraction stick pattern is calculated, not measured: it uses a PBE-relaxed structure and Cu Kα (λ = 1.5418 Å).
Intensities are scaled so that the largest is 100.

Lattice parameters (Å, degrees): 6.322 6.322 4.571 90.00 90.00 120.00
Sites, in units of the cell vectors:
Sm 0.000 0.000 0.000
Pa 0.333 0.667 0.500
Ga 0.373 0.186 0.500
Ga 0.519 0.039 0.000
Ga 0.519 0.481 0.000
Ga 0.814 0.186 0.500
Ga 0.814 0.627 0.500
Ga 0.961 0.481 0.000

Main lines, in order of rising 2θ (10 to 90 degrees two-theta):
2θ = 25.38°, I 34
2θ = 28.23°, I 14
2θ = 32.71°, I 26
2θ = 38.32°, I 100
2θ = 39.42°, I 22
2θ = 52.13°, I 14
2θ = 58.39°, I 17
2θ = 70.77°, I 16
2θ = 72.02°, I 12
2θ = 72.74°, I 17